Simulated PXRD pattern
Compound: Sc9Tl3O2
Radiation: Cu Kα
Structure: a PBE-relaxed structure
Peak positions follow from Bragg's law for the DFT cell and can differ from measured ones.

Structure:
```
data_Sc9Tl3O2
_cell_length_a 6.3515
_cell_length_b 6.3515
_cell_length_c 7.7884
_cell_angle_alpha 90.00
_cell_angle_beta 90.00
_cell_angle_gamma 120.00
_space_group_name_H-M_alt 'P -3 m 1'
_space_group_IT_number 164
_space_group_name_Hall '-P 3 2"'
loop_
_atom_site_label
_atom_site_fract_x
_atom_site_fract_y
_atom_site_fract_z
Sc1 0.0000 0.5000 0.0000
Sc2 0.1676 0.3353 0.6680
Tl1 0.0000 0.0000 0.0000
Tl2 0.3333 0.6667 0.3332
O1 0.3333 0.6667 0.8389
```

Most intense lines, 15 to 90 degrees two-theta, most intense first:
d [Å]  Position (°2θ)  Rel. int.  h k l
2.594  34.58  100  2 0 1
3.177  28.09  67  1 1 0
2.246  40.14  56  0 2 2
4.493  19.76  56  0 1 1
1.355  69.37  38  2 2 3
1.589  58.07  37  2 2 0